# 1
Sr2LaHg10: theoretical powder XRD pattern (λ = 1.5418 Å (Cu Kα)), based on a structure optimized by DFT (PBE).
No peak broadening, texture or thermal motion is included.

Most intense lines, 2θ from 10° to 80°, in order of rising 2θ:
- 13.6°, d 6.534, intensity 100.0
- 16.0°, d 5.533, intensity 24.5
- 32.0°, d 2.793, intensity 89.3
- 32.6°, d 2.746, intensity 65.6
- 33.1°, d 2.705, intensity 25.4
- 33.2°, d 2.695, intensity 32.6
- 35.5°, d 2.532, intensity 27.8
- 36.0°, d 2.494, intensity 26.8
- 41.5°, d 2.178, intensity 26.6
- 43.5°, d 2.081, intensity 27.2

Structure:
Cell lengths 11.0651, 12.3424, 6.5338 Å; angles 90.00, 90.00, 90.00 degrees
Space group Pbam (No. 55)
One atom of each set of equivalent atoms:
Sr: 0.2030 0.1008 0.0000 x4
La: 0.0000 0.5000 0.5000 x2
Hg: 0.0226 0.2198 0.5000 x4
Hg: 0.1327 0.9783 0.5000 x4
Hg: 0.1888 0.3641 0.2181 x8
Hg: 0.2103 0.6768 0.5000 x4



# 2
Tl2HgAu: theoretical powder XRD pattern (λ = 1.5418 Å (Cu Kα)), based on a structure optimized by DFT (PBE).
No peak broadening, texture or thermal motion is included.

Most intense lines, 2θ from 10° to 80°, in order of rising 2θ:
- 29.8°, d 3.000, intensity 24.0
- 30.6°, d 2.925, intensity 100.0
- 31.0°, d 2.883, intensity 15.6
- 36.2°, d 2.480, intensity 40.9
- 37.3°, d 2.413, intensity 29.0
- 37.4°, d 2.404, intensity 23.1
- 40.9°, d 2.204, intensity 26.3
- 43.8°, d 2.068, intensity 27.5
- 58.2°, d 1.586, intensity 17.3
- 61.5°, d 1.508, intensity 20.2

Structure:
Cell lengths 4.1351, 4.4089, 6.3365 Å; angles 90.00, 108.74, 90.00 degrees
Space group Pm (No. 6)
One atom of each set of equivalent atoms:
Tl: 0.0000 0.0000 0.0000 x1
Tl: 0.2848 0.5000 0.6125 x1
Hg: 0.6999 0.0000 0.4502 x1
Au: 0.5732 0.5000 0.1151 x1



# 3
VCuPd4: theoretical powder XRD pattern (λ = 1.5418 Å (Cu Kα)), based on a structure optimized by DFT (PBE).
No peak broadening, texture or thermal motion is included.

Most intense lines, 2θ from 10° to 80°, in order of rising 2θ:
- 26.4°, d 3.376, intensity 20.8
- 26.6°, d 3.349, intensity 4.6
- 30.6°, d 2.918, intensity 86.7
- 43.7°, d 2.069, intensity 100.0
- 44.0°, d 2.057, intensity 97.3
- 54.4°, d 1.688, intensity 17.2
- 54.8°, d 1.675, intensity 5.4
- 63.8°, d 1.459, intensity 31.0
- 72.2°, d 1.308, intensity 14.7
- 72.6°, d 1.302, intensity 14.1

Structure:
Cell lengths 4.1384, 4.1384, 20.0960 Å; angles 90.00, 90.00, 120.00 degrees
Space group R-3m (No. 166, hexagonal axes)
One atom of each set of equivalent atoms:
V: 0.0000 0.0000 0.0000 x3
Cu: 0.0000 0.0000 0.5000 x3
Pd: 0.0000 0.0000 0.1221 x6
Pd: 0.0000 0.0000 0.3742 x6



# 4
Y3TmIr4: theoretical powder XRD pattern (λ = 1.5418 Å (Cu Kα)), based on a structure optimized by DFT (PBE).
No peak broadening, texture or thermal motion is included.

Most intense lines, 2θ from 10° to 80°, in order of rising 2θ:
- 25.6°, d 3.475, intensity 9.0
- 36.6°, d 2.457, intensity 53.5
- 37.5°, d 2.399, intensity 100.0
- 46.0°, d 1.974, intensity 4.1
- 52.7°, d 1.738, intensity 18.8
- 55.4°, d 1.658, intensity 8.1
- 66.4°, d 1.407, intensity 37.4
- 68.2°, d 1.374, intensity 17.3
- 77.7°, d 1.229, intensity 6.0
- 80.0°, d 1.199, intensity 11.2

Structure:
Cell lengths 3.3152, 4.9143, 9.8309 Å; angles 90.00, 90.00, 90.00 degrees
Space group Pmmm (No. 47)
One atom of each set of equivalent atoms:
Y: 0.0000 0.0000 0.0000 x1
Y: 0.0000 0.5000 0.2512 x2
Tm: 0.0000 0.0000 0.5000 x1
Ir: 0.5000 0.0000 0.2541 x2
Ir: 0.5000 0.5000 0.0000 x1
Ir: 0.5000 0.5000 0.5000 x1



# 5
La3Ga3Os2: theoretical powder XRD pattern (λ = 1.5418 Å (Cu Kα)), based on a structure optimized by DFT (PBE).
No peak broadening, texture or thermal motion is included.

Most intense lines, 2θ from 10° to 80°, in order of rising 2θ:
- 16.2°, d 5.486, intensity 49.6
- 31.9°, d 2.806, intensity 100.0
- 32.6°, d 2.743, intensity 67.0
- 33.2°, d 2.702, intensity 32.8
- 34.2°, d 2.623, intensity 33.4
- 36.5°, d 2.460, intensity 91.1
- 37.0°, d 2.431, intensity 37.2
- 39.6°, d 2.274, intensity 42.5
- 42.0°, d 2.150, intensity 56.4
- 52.3°, d 1.750, intensity 40.0

Structure:
Cell lengths 4.2996, 10.9717, 15.7387 Å; angles 90.00, 90.00, 90.00 degrees
Space group Cmcm (No. 63)
One atom of each set of equivalent atoms:
La: 0.0000 0.0677 0.1053 x8
La: 0.0000 0.3485 0.2500 x4
Ga: 0.0000 0.3460 0.0357 x8
Ga: 0.0000 0.3515 0.7500 x4
Os: 0.0000 0.2210 0.6107 x8



# 6
TbPr2Zr: theoretical powder XRD pattern (λ = 1.5418 Å (Cu Kα)), based on a structure optimized by DFT (PBE).
No peak broadening, texture or thermal motion is included.

Most intense lines, 2θ from 10° to 80°, in order of rising 2θ:
- 29.6°, d 3.019, intensity 49.6
- 31.1°, d 2.879, intensity 50.7
- 31.9°, d 2.803, intensity 100.0
- 34.4°, d 2.605, intensity 98.9
- 47.3°, d 1.923, intensity 21.0
- 51.6°, d 1.770, intensity 38.8
- 54.1°, d 1.694, intensity 16.1
- 59.1°, d 1.564, intensity 21.9
- 61.5°, d 1.508, intensity 43.4
- 63.5°, d 1.464, intensity 16.6

Structure:
Cell lengths 3.5406, 3.5406, 34.5521 Å; angles 90.00, 90.00, 120.00 degrees
Space group R3m (No. 160, hexagonal axes)
One atom of each set of equivalent atoms:
Tb: 0.0000 0.0000 0.0000 x3
Pr: 0.0000 0.0000 0.4224 x3
Pr: 0.0000 0.0000 0.5800 x3
Zr: 0.0000 0.0000 0.1677 x3



# 7
Zr6GeI14: theoretical powder XRD pattern (λ = 1.5418 Å (Cu Kα)), based on a structure optimized by DFT (PBE).
No peak broadening, texture or thermal motion is included.

Most intense lines, 2θ from 10° to 80°, in order of rising 2θ:
- 10.5°, d 8.443, intensity 100.0
- 25.8°, d 3.457, intensity 36.0
- 27.0°, d 3.305, intensity 32.9
- 27.7°, d 3.225, intensity 81.9
- 28.3°, d 3.149, intensity 99.8
- 31.6°, d 2.831, intensity 32.6
- 32.2°, d 2.780, intensity 88.6
- 42.5°, d 2.127, intensity 27.1
- 42.8°, d 2.111, intensity 54.0
- 44.2°, d 2.048, intensity 29.3

Structure:
Cell lengths 16.3821, 14.7771, 13.2200 Å; angles 90.00, 90.00, 90.00 degrees
Space group Cmce (No. 64)
One atom of each set of equivalent atoms:
Zr: 0.0000 0.1449 0.1058 x8
Zr: 0.1138 0.0675 0.8829 x16
Ge: 0.0000 0.0000 0.0000 x4
I: 0.0000 0.1548 0.7351 x8
I: 0.1234 0.0890 0.2503 x16
I: 0.1242 0.2399 0.9905 x16
I: 0.2495 0.0000 0.0000 x8
I: 0.2500 0.1504 0.7500 x8



# 8
Dy2HgBr: theoretical powder XRD pattern (λ = 1.5418 Å (Cu Kα)), based on a structure optimized by DFT (PBE).
No peak broadening, texture or thermal motion is included.

Most intense lines, 2θ from 10° to 80°, in order of rising 2θ:
- 12.3°, d 7.191, intensity 12.0
- 29.6°, d 3.019, intensity 100.0
- 41.7°, d 2.167, intensity 39.4
- 43.0°, d 2.103, intensity 36.5
- 50.8°, d 1.798, intensity 7.4
- 53.1°, d 1.726, intensity 21.7
- 61.4°, d 1.509, intensity 12.7
- 68.7°, d 1.367, intensity 17.9
- 70.6°, d 1.334, intensity 17.7
- 77.9°, d 1.226, intensity 12.9

Structure:
Cell lengths 4.2067, 4.2067, 21.5715 Å; angles 90.00, 90.00, 120.00 degrees
Space group R-3m (No. 166, hexagonal axes)
One atom of each set of equivalent atoms:
Dy: 0.0000 0.0000 0.2469 x6
Hg: 0.0000 0.0000 0.5000 x3
Br: 0.0000 0.0000 0.0000 x3



# 9
Ho12Sc2In: theoretical powder XRD pattern (λ = 1.5418 Å (Cu Kα)), based on a structure optimized by DFT (PBE).
No peak broadening, texture or thermal motion is included.

Most intense lines, 2θ from 10° to 80°, in order of rising 2θ:
- 23.0°, d 3.872, intensity 14.8
- 31.7°, d 2.822, intensity 98.0
- 32.5°, d 2.757, intensity 100.0
- 35.5°, d 2.531, intensity 54.6
- 37.9°, d 2.372, intensity 16.3
- 38.2°, d 2.355, intensity 35.1
- 53.1°, d 1.724, intensity 35.6
- 62.3°, d 1.491, intensity 27.2
- 62.4°, d 1.487, intensity 30.5
- 65.5°, d 1.425, intensity 15.8

Structure:
Cell lengths 3.5321, 4.7091, 27.2638 Å; angles 90.00, 93.70, 90.00 degrees
Space group P2/m (No. 10)
One atom of each set of equivalent atoms:
Ho: 0.0322 0.0000 0.0600 x2
Ho: 0.0999 0.0000 0.1910 x2
Ho: 0.1620 0.0000 0.3177 x2
Ho: 0.2240 0.0000 0.4468 x2
Ho: 0.3080 0.5000 0.6200 x2
Ho: 0.4327 0.5000 0.8719 x2
Sc: 0.3689 0.5000 0.7456 x2
In: 0.5000 0.5000 0.0000 x1



# 10
Tm3ScIn2: theoretical powder XRD pattern (λ = 1.5418 Å (Cu Kα)), based on a structure optimized by DFT (PBE).
No peak broadening, texture or thermal motion is included.

Most intense lines, 2θ from 10° to 80°, in order of rising 2θ:
- 28.1°, d 3.178, intensity 40.3
- 29.6°, d 3.020, intensity 40.6
- 30.2°, d 2.961, intensity 100.0
- 32.9°, d 2.719, intensity 38.3
- 35.8°, d 2.507, intensity 98.9
- 38.7°, d 2.327, intensity 29.0
- 40.1°, d 2.247, intensity 74.5
- 52.9°, d 1.732, intensity 39.9
- 58.0°, d 1.589, intensity 24.9
- 70.1°, d 1.342, intensity 26.7

Structure:
Cell lengths 6.3582, 16.3157, 6.3541 Å; angles 90.00, 90.00, 90.00 degrees
Space group Ibam (No. 72)
One atom of each set of equivalent atoms:
Tm: 0.0000 0.0000 0.2500 x4
Tm: 0.2499 0.1752 0.0000 x8
Sc: 0.0000 0.5000 0.2500 x4
In: 0.2421 0.3666 0.0000 x8



# 11
Ba3Tl9Hg2: theoretical powder XRD pattern (λ = 1.5418 Å (Cu Kα)), based on a structure optimized by DFT (PBE).
No peak broadening, texture or thermal motion is included.

Most intense lines, 2θ from 10° to 80°, in order of rising 2θ:
- 28.5°, d 3.136, intensity 13.7
- 28.9°, d 3.092, intensity 100.0
- 30.1°, d 2.970, intensity 13.5
- 30.9°, d 2.898, intensity 30.8
- 34.3°, d 2.614, intensity 42.1
- 35.5°, d 2.527, intensity 56.1
- 37.2°, d 2.417, intensity 31.2
- 38.8°, d 2.324, intensity 13.8
- 50.2°, d 1.817, intensity 21.5
- 55.6°, d 1.654, intensity 25.1

Structure:
Cell lengths 5.2275, 11.7569, 15.1720 Å; angles 90.00, 90.00, 90.00 degrees
Space group Immm (No. 71)
One atom of each set of equivalent atoms:
Ba: 0.0000 0.0000 0.0000 x2
Ba: 0.0000 0.0000 0.3124 x4
Tl: 0.0000 0.2766 0.1477 x8
Tl: 0.0000 0.3692 0.3463 x8
Tl: 0.0000 0.5000 0.0000 x2
Hg: 0.0000 0.1828 0.5000 x4



# 12
Ca3PmAl8: theoretical powder XRD pattern (λ = 1.5418 Å (Cu Kα)), based on a structure optimized by DFT (PBE).
No peak broadening, texture or thermal motion is included.

Most intense lines, 2θ from 10° to 80°, in order of rising 2θ:
- 18.0°, d 4.916, intensity 35.6
- 20.5°, d 4.336, intensity 53.0
- 26.5°, d 3.359, intensity 32.5
- 31.5°, d 2.838, intensity 60.5
- 34.5°, d 2.603, intensity 100.0
- 37.2°, d 2.416, intensity 91.8
- 37.9°, d 2.375, intensity 63.5
- 58.0°, d 1.589, intensity 39.7
- 59.9°, d 1.544, intensity 25.1
- 63.1°, d 1.473, intensity 25.4

Structure:
Cell lengths 5.6767, 5.6767, 9.2029 Å; angles 90.00, 90.00, 120.00 degrees
Space group P3m1 (No. 156)
One atom of each set of equivalent atoms:
Ca: 0.0000 0.0000 0.0000 x1
Ca: 0.0000 0.0000 0.3663 x1
Ca: 0.3333 0.6667 0.8681 x1
Pm: 0.3333 0.6667 0.5011 x1
Al: 0.0085 0.5042 0.1849 x3
Al: 0.3258 0.1629 0.6824 x3
Al: 0.6667 0.3333 0.4346 x1
Al: 0.6667 0.3333 0.9363 x1